No. 1
TiPHO5: simulated powder diffractogram (Cu Ka), based on a cell relaxed with PBE.
Peak positions follow from Bragg's law for the DFT cell and can differ from measured ones.

Structure:
Unit cell a=7.4850 b=7.1638 c=7.4859 alpha=90.00 beta=116.84 gamma=90.00
Space group P2_1 (No. 4)
Unique sites:
Ti 0.2182 0.0000 0.4727 [2 per cell]
Ti 0.2193 0.4981 0.9703 [2 per cell]
P 0.0007 0.8856 0.7509 [2 per cell]
P 0.4987 0.1363 0.2502 [2 per cell]
H 0.4265 0.6993 0.3231 [2 per cell]
H 0.4553 0.2463 0.7950 [2 per cell]
O 0.0009 0.4240 0.7486 [2 per cell]
O 0.0973 0.5106 0.1504 [2 per cell]
O 0.0991 0.0118 0.6534 [2 per cell]
O 0.1618 0.2621 0.4115 [2 per cell]
O 0.1638 0.7605 0.9109 [2 per cell]
O 0.3410 0.2611 0.0863 [2 per cell]
O 0.3415 0.7599 0.5855 [2 per cell]
O 0.4020 0.0095 0.3492 [2 per cell]
O 0.4069 0.5038 0.8474 [2 per cell]
O 0.4959 0.6380 0.2539 [2 per cell]

Peak list (10 most intense, 2θ from 10° to 90°, sorted by position)
2θ 18.16, I 27, (0 1 1); 2θ 18.63, I 22, (1 1 -1); 2θ 24.86, I 18, (0 2 0); 2θ 25.91, I 100, (1 1 1); 2θ 27.98, I 58, (2 0 -2); 2θ 28.27, I 27, (1 2 0); 2θ 34.69, I 14, (1 2 -2); 2θ 44.44, I 22, (3 1 -3); 2θ 58.48, I 17, (0 4 2); 2θ 73.20, I 15, (2 4 -4)



No. 2
TiP2H2O9: simulated powder diffractogram (Cu Ka), based on a cell relaxed with PBE.
Peak positions follow from Bragg's law for the DFT cell and can differ from measured ones.

Structure:
Unit cell a=5.2403 b=6.3944 c=23.5268 alpha=90.00 beta=93.37 gamma=90.00
Space group P2_1 (No. 4)
Unique sites:
Ti 0.2277 0.0000 0.4325 [2 per cell]
Ti 0.2580 0.4948 0.0671 [2 per cell]
P 0.2138 0.1042 0.8461 [2 per cell]
P 0.2500 0.5015 0.4719 [2 per cell]
P 0.2682 0.9967 0.0283 [2 per cell]
P 0.2956 0.6031 0.6562 [2 per cell]
H 0.0424 0.5484 0.2948 [2 per cell]
H 0.1728 0.0144 0.2023 [2 per cell]
H 0.3419 0.5466 0.2974 [2 per cell]
H 0.4573 0.0504 0.1880 [2 per cell]
O 0.0285 0.5124 0.1300 [2 per cell]
O 0.0325 0.5020 0.5132 [2 per cell]
O 0.0328 0.9977 0.9858 [2 per cell]
O 0.0458 0.5138 0.6290 [2 per cell]
O 0.1925 0.6386 0.2920 [2 per cell]
O 0.2205 0.3450 0.8447 [2 per cell]
O 0.2234 0.0626 0.7811 [2 per cell]
O 0.2288 0.6964 0.4334 [2 per cell]
O 0.2301 0.3078 0.4338 [2 per cell]
O 0.2640 0.1918 0.0667 [2 per cell]
O 0.2649 0.8021 0.0663 [2 per cell]
O 0.3024 0.8431 0.6616 [2 per cell]
O 0.3078 0.1212 0.2027 [2 per cell]
O 0.3077 0.5489 0.7210 [2 per cell]
O 0.4460 0.0013 0.8776 [2 per cell]
O 0.4813 0.0097 0.3744 [2 per cell]
O 0.4891 0.4972 0.0058 [2 per cell]
O 0.4935 0.0027 0.4928 [2 per cell]

Peak list (10 most intense, 2θ from 10° to 90°, sorted by position)
2θ 15.78, I 100, (0 1 2); 2θ 19.85, I 26, (1 0 -3); 2θ 20.97, I 46, (1 0 3); 2θ 22.11, I 19, (1 1 -1); 2θ 24.28, I 18, (1 1 -3); 2θ 24.72, I 58, (1 0 -5); 2θ 26.23, I 46, (1 0 5); 2θ 27.91, I 47, (0 2 0); 2θ 28.94, I 20, (0 2 2); 2θ 29.78, I 20, (1 1 5)



No. 3
TiPHO5: simulated powder diffractogram (Cu Ka), based on a cell relaxed with PBE.
Peak positions follow from Bragg's law for the DFT cell and can differ from measured ones.

Structure:
Unit cell a=5.2052 b=5.2568 c=7.4400 alpha=109.46 beta=105.56 gamma=97.66
Space group P-1 (No. 2)
Unique sites:
Ti 0.0000 0.0000 0.0000 [1 per cell]
Ti 0.5000 0.5000 0.5000 [1 per cell]
P 0.0540 0.3748 0.7285 [2 per cell]
H 0.4850 0.8066 0.8342 [2 per cell]
O 0.1266 0.1790 0.8392 [2 per cell]
O 0.1548 0.6851 0.8833 [2 per cell]
O 0.2126 0.3461 0.5773 [2 per cell]
O 0.2572 0.6998 0.3816 [2 per cell]
O 0.3624 0.1886 0.2213 [2 per cell]

Peak list (10 most intense, 2θ from 10° to 90°, sorted by position)
2θ 18.20, I 85, (1 0 0); 2θ 18.46, I 23, (0 1 0); 2θ 18.69, I 34, (1 0 -1); 2θ 22.61, I 19, (1 -1 0); 2θ 25.83, I 29, (1 -1 1); 2θ 26.14, I 68, (1 0 1); 2θ 26.84, I 100, (0 1 1); 2θ 29.33, I 56, (1 1 -2); 2θ 36.92, I 26, (1 -2 1); 2θ 55.84, I 21, (2 0 -4)